(1)
Structure and computed X-ray diffraction stick pattern of SiH14C4S2N8F6 (a DFT-relaxed cell (GGA-PBE, Alexandria); copper Kα).
Peak positions follow from Bragg's law for the DFT cell and can differ from measured ones.

Most intense lines, 2θ from 10° to 90°, in order of falling intensity:
2θ 23.4, d 3.809, I 1000
2θ 17.6, d 5.048, I 677
2θ 29.0, d 3.076, I 616
2θ 19.3, d 4.596, I 517
2θ 25.8, d 3.456, I 292
2θ 18.8, d 4.732, I 268
2θ 16.5, d 5.367, I 266
2θ 14.4, d 6.152, I 213
2θ 38.1, d 2.364, I 208
2θ 35.3, d 2.540, I 164
2θ 23.1, d 3.844, I 159
2θ 11.2, d 7.920, I 152

Atomic structure:
```
data_SiH14C4S2N8F6
_cell_length_a 6.948
_cell_length_b 7.720
_cell_length_c 7.979
_cell_angle_alpha 84.14
_cell_angle_beta 83.98
_cell_angle_gamma 63.45
_space_group_name_H-M_alt 'P 1'
_space_group_IT_number 1
loop_
_space_group_symop_operation_xyz
'x,y,z'
loop_
_atom_site_label
_atom_site_type_symbol
_atom_site_fract_x
_atom_site_fract_y
_atom_site_fract_z
Si1 Si 0.000 0.000 0.000
H1 H 0.079 0.642 0.835
H2 H 0.152 0.542 0.631
H3 H 0.199 0.996 0.440
H4 H 0.285 0.467 0.057
H5 H 0.286 0.922 0.646
H6 H 0.375 0.857 0.227
H7 H 0.484 0.752 0.973
H8 H 0.516 0.248 0.027
H9 H 0.625 0.143 0.773
H10 H 0.714 0.078 0.354
H11 H 0.715 0.533 0.943
H12 H 0.801 0.004 0.560
H13 H 0.848 0.458 0.369
H14 H 0.921 0.358 0.165
C1 C 0.343 0.383 0.817
C2 C 0.497 0.762 0.460
C3 C 0.503 0.238 0.540
C4 C 0.657 0.617 0.183
S1 S 0.311 0.387 0.412
S2 S 0.689 0.613 0.588
N1 N 0.172 0.532 0.759
N2 N 0.311 0.903 0.520
N3 N 0.380 0.359 0.980
N4 N 0.490 0.244 0.715
N5 N 0.510 0.756 0.285
N6 N 0.620 0.641 0.020
N7 N 0.689 0.097 0.480
N8 N 0.828 0.468 0.241
F1 F 0.080 0.760 0.056
F2 F 0.111 0.025 0.176
F3 F 0.243 0.944 0.884
F4 F 0.757 0.056 0.116
F5 F 0.889 0.975 0.824
F6 F 0.920 0.240 0.944
```

(2)
Structure and computed X-ray diffraction stick pattern of SbH6CN3F4 (a DFT-relaxed cell (GGA-PBE, Alexandria); copper Kα).
Peak positions follow from Bragg's law for the DFT cell and can differ from measured ones.

Most intense lines, 2θ from 10° to 90°, in order of falling intensity:
2θ 10.8, d 8.214, I 1000
2θ 24.7, d 3.606, I 707
2θ 14.3, d 6.205, I 568
2θ 23.8, d 3.742, I 532
2θ 18.9, d 4.691, I 527
2θ 28.8, d 3.103, I 440
2θ 22.3, d 3.982, I 338
2θ 25.4, d 3.504, I 247
2θ 41.1, d 2.195, I 232
2θ 59.6, d 1.552, I 209
2θ 17.7, d 5.012, I 201
2θ 16.4, d 5.399, I 187

Atomic structure:
```
data_SbH6CN3F4
_cell_length_a 5.191
_cell_length_b 10.957
_cell_length_c 12.410
_cell_angle_alpha 90.00
_cell_angle_beta 90.00
_cell_angle_gamma 90.00
_space_group_name_H-M_alt 'P 1'
_space_group_IT_number 1
loop_
_space_group_symop_operation_xyz
'x,y,z'
loop_
_atom_site_label
_atom_site_type_symbol
_atom_site_fract_x
_atom_site_fract_y
_atom_site_fract_z
Sb1 Sb 0.171 0.115 0.448
Sb2 Sb 0.329 0.885 0.948
Sb3 Sb 0.671 0.385 0.552
Sb4 Sb 0.829 0.615 0.052
H1 H 0.022 0.293 0.059
H2 H 0.056 0.503 0.324
H3 H 0.088 0.246 0.723
H4 H 0.147 0.144 0.065
H5 H 0.188 0.147 0.825
H6 H 0.197 0.453 0.738
H7 H 0.303 0.547 0.238
H8 H 0.312 0.853 0.325
H9 H 0.353 0.856 0.565
H10 H 0.412 0.754 0.223
H11 H 0.444 0.497 0.824
H12 H 0.478 0.707 0.559
H13 H 0.522 0.207 0.941
H14 H 0.556 0.997 0.676
H15 H 0.588 0.254 0.277
H16 H 0.647 0.356 0.935
H17 H 0.688 0.353 0.175
H18 H 0.697 0.047 0.262
H19 H 0.803 0.953 0.762
H20 H 0.812 0.647 0.675
H21 H 0.853 0.644 0.435
H22 H 0.912 0.746 0.777
H23 H 0.944 0.003 0.176
H24 H 0.978 0.793 0.441
C1 C 0.147 0.682 0.329
C2 C 0.353 0.318 0.829
C3 C 0.647 0.818 0.671
C4 C 0.853 0.182 0.171
N1 N 0.019 0.208 0.092
N2 N 0.144 0.571 0.282
N3 N 0.187 0.233 0.794
N4 N 0.313 0.767 0.294
N5 N 0.356 0.429 0.782
N6 N 0.481 0.792 0.592
N7 N 0.519 0.292 0.908
N8 N 0.644 0.929 0.718
N9 N 0.687 0.267 0.206
N10 N 0.813 0.733 0.706
N11 N 0.856 0.071 0.218
N12 N 0.981 0.708 0.408
F1 F 0.065 0.742 0.908
F2 F 0.070 0.939 0.498
F3 F 0.083 0.981 0.854
F4 F 0.096 0.899 0.073
F5 F 0.404 0.101 0.573
F6 F 0.417 0.019 0.354
F7 F 0.430 0.061 0.998
F8 F 0.435 0.258 0.408
F9 F 0.565 0.758 0.092
F10 F 0.570 0.561 0.502
F11 F 0.583 0.519 0.146
F12 F 0.596 0.601 0.927
F13 F 0.904 0.399 0.427
F14 F 0.917 0.481 0.646
F15 F 0.930 0.439 0.002
F16 F 0.935 0.242 0.592
```

(3)
Structure and computed X-ray diffraction stick pattern of SbH12C2N6F5 (a DFT-relaxed cell (GGA-PBE, Alexandria); copper Kα).
Peak positions follow from Bragg's law for the DFT cell and can differ from measured ones.

Most intense lines, 2θ from 10° to 90°, in order of falling intensity:
2θ 22.0, d 4.039, I 1000
2θ 13.7, d 6.477, I 895
2θ 20.9, d 4.259, I 704
2θ 17.9, d 4.958, I 612
2θ 12.9, d 6.877, I 445
2θ 11.7, d 7.561, I 400
2θ 20.5, d 4.333, I 362
2θ 10.2, d 8.666, I 345
2θ 22.4, d 3.963, I 292
2θ 27.5, d 3.238, I 290
2θ 12.2, d 7.253, I 282
2θ 31.0, d 2.889, I 259

Atomic structure:
```
data_SbH12C2N6F5
_cell_length_a 9.041
_cell_length_b 9.041
_cell_length_c 10.044
_cell_angle_alpha 116.47
_cell_angle_beta 116.47
_cell_angle_gamma 56.34
_space_group_name_H-M_alt 'P 1'
_space_group_IT_number 1
loop_
_space_group_symop_operation_xyz
'x,y,z'
loop_
_atom_site_label
_atom_site_type_symbol
_atom_site_fract_x
_atom_site_fract_y
_atom_site_fract_z
Sb1 Sb 0.159 0.159 0.157
Sb2 Sb 0.841 0.841 0.843
H1 H 0.003 0.282 0.452
H2 H 0.057 0.581 0.374
H3 H 0.130 0.337 0.851
H4 H 0.229 0.512 0.170
H5 H 0.240 0.713 0.197
H6 H 0.282 0.003 0.452
H7 H 0.287 0.495 0.764
H8 H 0.287 0.760 0.803
H9 H 0.337 0.130 0.851
H10 H 0.419 0.943 0.626
H11 H 0.488 0.771 0.830
H12 H 0.495 0.287 0.764
H13 H 0.505 0.713 0.236
H14 H 0.512 0.229 0.170
H15 H 0.581 0.057 0.374
H16 H 0.663 0.870 0.149
H17 H 0.713 0.240 0.197
H18 H 0.713 0.505 0.236
H19 H 0.718 0.997 0.548
H20 H 0.760 0.287 0.803
H21 H 0.771 0.488 0.830
H22 H 0.870 0.663 0.149
H23 H 0.943 0.419 0.626
H24 H 0.997 0.718 0.548
C1 C 0.178 0.178 0.640
C2 C 0.484 0.484 0.196
C3 C 0.516 0.516 0.804
C4 C 0.822 0.822 0.360
N1 N 0.024 0.297 0.565
N2 N 0.211 0.211 0.793
N3 N 0.297 0.024 0.565
N4 N 0.303 0.575 0.185
N5 N 0.425 0.697 0.815
N6 N 0.427 0.427 0.783
N7 N 0.573 0.573 0.217
N8 N 0.575 0.303 0.185
N9 N 0.697 0.425 0.815
N10 N 0.703 0.976 0.435
N11 N 0.789 0.789 0.207
N12 N 0.976 0.703 0.435
F1 F 0.066 0.728 0.754
F2 F 0.078 0.422 0.143
F3 F 0.265 0.265 0.372
F4 F 0.272 0.934 0.246
F5 F 0.422 0.078 0.143
F6 F 0.578 0.922 0.857
F7 F 0.728 0.066 0.754
F8 F 0.735 0.735 0.628
F9 F 0.922 0.578 0.857
F10 F 0.934 0.272 0.246
```

(4)
Structure and computed X-ray diffraction stick pattern of SiH12C4N10F6 (a DFT-relaxed cell (GGA-PBE, Alexandria); copper Kα).
Peak positions follow from Bragg's law for the DFT cell and can differ from measured ones.

Most intense lines, 2θ from 10° to 90°, in order of falling intensity:
2θ 24.0, d 3.713, I 1000
2θ 16.4, d 5.412, I 788
2θ 28.9, d 3.092, I 688
2θ 19.4, d 4.568, I 639
2θ 26.0, d 3.430, I 306
2θ 14.3, d 6.184, I 267
2θ 26.3, d 3.385, I 198
2θ 24.3, d 3.658, I 197
2θ 12.6, d 7.022, I 175
2θ 20.8, d 4.268, I 167
2θ 16.2, d 5.466, I 136
2θ 52.9, d 1.730, I 122

Atomic structure:
```
data_SiH12C4N10F6
_cell_length_a 6.150
_cell_length_b 7.837
_cell_length_c 7.882
_cell_angle_alpha 103.80
_cell_angle_beta 107.67
_cell_angle_gamma 106.40
_space_group_name_H-M_alt 'P 1'
_space_group_IT_number 1
loop_
_space_group_symop_operation_xyz
'x,y,z'
loop_
_atom_site_label
_atom_site_type_symbol
_atom_site_fract_x
_atom_site_fract_y
_atom_site_fract_z
Si1 Si 0.000 0.000 0.000
H1 H 0.111 0.845 0.600
H2 H 0.147 0.440 0.179
H3 H 0.308 0.753 0.999
H4 H 0.421 0.296 0.570
H5 H 0.429 0.134 0.376
H6 H 0.484 0.326 0.065
H7 H 0.516 0.674 0.935
H8 H 0.571 0.866 0.624
H9 H 0.579 0.704 0.430
H10 H 0.692 0.247 0.001
H11 H 0.853 0.560 0.821
H12 H 0.889 0.155 0.400
C1 C 0.155 0.499 0.780
C2 C 0.233 0.688 0.413
C3 C 0.767 0.312 0.587
C4 C 0.845 0.501 0.220
N1 N 0.075 0.746 0.473
N2 N 0.089 0.535 0.250
N3 N 0.171 0.372 0.644
N4 N 0.343 0.640 0.935
N5 N 0.478 0.764 0.490
N6 N 0.522 0.236 0.510
N7 N 0.657 0.360 0.065
N8 N 0.829 0.628 0.356
N9 N 0.911 0.465 0.750
N10 N 0.925 0.254 0.527
F1 F 0.073 0.952 0.806
F2 F 0.177 0.240 0.068
F3 F 0.255 0.967 0.131
F4 F 0.745 0.033 0.869
F5 F 0.823 0.760 0.932
F6 F 0.927 0.048 0.194
```

(5)
Structure and computed X-ray diffraction stick pattern of SiH12C2N6F6 (a DFT-relaxed cell (GGA-PBE, Alexandria); copper Kα).
Peak positions follow from Bragg's law for the DFT cell and can differ from measured ones.

Most intense lines, 2θ from 10° to 90°, in order of falling intensity:
2θ 14.3, d 6.179, I 1000
2θ 23.0, d 3.866, I 957
2θ 16.9, d 5.258, I 829
2θ 30.7, d 2.915, I 534
2θ 15.2, d 5.833, I 510
2θ 29.8, d 2.995, I 277
2θ 37.8, d 2.378, I 153
2θ 58.2, d 1.585, I 133
2θ 35.6, d 2.525, I 126
2θ 47.4, d 1.919, I 125
2θ 39.6, d 2.276, I 125
2θ 42.4, d 2.132, I 110

Atomic structure:
```
data_SiH12C2N6F6
_cell_length_a 7.288
_cell_length_b 7.288
_cell_length_c 6.322
_cell_angle_alpha 109.50
_cell_angle_beta 109.50
_cell_angle_gamma 60.00
_space_group_name_H-M_alt 'P 1'
_space_group_IT_number 1
loop_
_space_group_symop_operation_xyz
'x,y,z'
loop_
_atom_site_label
_atom_site_type_symbol
_atom_site_fract_x
_atom_site_fract_y
_atom_site_fract_z
Si1 Si 0.000 0.000 0.000
H1 H 0.009 0.450 0.248
H2 H 0.009 0.690 0.249
H3 H 0.310 0.550 0.749
H4 H 0.310 0.991 0.751
H5 H 0.450 0.009 0.248
H6 H 0.450 0.690 0.251
H7 H 0.550 0.310 0.749
H8 H 0.550 0.991 0.752
H9 H 0.690 0.009 0.249
H10 H 0.690 0.450 0.251
H11 H 0.991 0.310 0.751
H12 H 0.991 0.550 0.752
C1 C 0.280 0.280 0.731
C2 C 0.720 0.720 0.269
N1 N 0.068 0.386 0.731
N2 N 0.385 0.385 0.723
N3 N 0.386 0.068 0.731
N4 N 0.614 0.932 0.269
N5 N 0.615 0.615 0.277
N6 N 0.932 0.614 0.269
F1 F 0.145 0.145 0.164
F2 F 0.147 0.812 0.173
F3 F 0.188 0.853 0.827
F4 F 0.812 0.147 0.173
F5 F 0.853 0.188 0.827
F6 F 0.855 0.855 0.836
```

(6)
Structure and computed X-ray diffraction stick pattern of SnH6CN3F3 (a DFT-relaxed cell (GGA-PBE, Alexandria); copper Kα).
Peak positions follow from Bragg's law for the DFT cell and can differ from measured ones.

Most intense lines, 2θ from 10° to 90°, in order of falling intensity:
2θ 14.7, d 6.014, I 1000
2θ 13.7, d 6.460, I 969
2θ 13.3, d 6.674, I 671
2θ 24.6, d 3.619, I 500
2θ 29.4, d 3.039, I 335
2θ 22.7, d 3.917, I 302
2θ 27.2, d 3.280, I 257
2θ 26.7, d 3.339, I 244
2θ 27.4, d 3.254, I 183
2θ 28.9, d 3.085, I 161
2θ 43.3, d 2.091, I 152
2θ 18.9, d 4.700, I 140

Atomic structure:
```
data_SnH6CN3F3
_cell_length_a 7.297
_cell_length_b 7.534
_cell_length_c 14.128
_cell_angle_alpha 90.00
_cell_angle_beta 113.86
_cell_angle_gamma 90.00
_space_group_name_H-M_alt 'P 1'
_space_group_IT_number 1
loop_
_space_group_symop_operation_xyz
'x,y,z'
loop_
_atom_site_label
_atom_site_type_symbol
_atom_site_fract_x
_atom_site_fract_y
_atom_site_fract_z
Sn1 Sn 0.022 0.078 0.219
Sn2 Sn 0.022 0.422 0.719
Sn3 Sn 0.978 0.578 0.281
Sn4 Sn 0.978 0.922 0.781
H1 H 0.172 0.592 0.098
H2 H 0.172 0.908 0.598
H3 H 0.191 0.577 0.975
H4 H 0.191 0.923 0.475
H5 H 0.349 0.211 0.940
H6 H 0.349 0.289 0.440
H7 H 0.406 0.135 0.788
H8 H 0.406 0.365 0.288
H9 H 0.413 0.728 0.231
H10 H 0.413 0.772 0.731
H11 H 0.441 0.711 0.952
H12 H 0.441 0.789 0.452
H13 H 0.559 0.211 0.548
H14 H 0.559 0.289 0.048
H15 H 0.587 0.228 0.269
H16 H 0.587 0.272 0.769
H17 H 0.594 0.635 0.712
H18 H 0.594 0.865 0.212
H19 H 0.651 0.711 0.560
H20 H 0.651 0.789 0.060
H21 H 0.809 0.077 0.525
H22 H 0.809 0.423 0.025
H23 H 0.828 0.092 0.402
H24 H 0.828 0.408 0.902
C1 C 0.409 0.717 0.087
C2 C 0.409 0.783 0.587
C3 C 0.591 0.217 0.413
C4 C 0.591 0.283 0.913
N1 N 0.242 0.620 0.050
N2 N 0.242 0.880 0.550
N3 N 0.486 0.732 0.687
N4 N 0.486 0.768 0.187
N5 N 0.500 0.237 0.975
N6 N 0.500 0.263 0.475
N7 N 0.500 0.737 0.525
N8 N 0.500 0.763 0.025
N9 N 0.514 0.232 0.813
N10 N 0.514 0.268 0.313
N11 N 0.758 0.120 0.450
N12 N 0.758 0.380 0.950
F1 F 0.090 0.216 0.845
F2 F 0.090 0.284 0.345
F3 F 0.196 0.583 0.847
F4 F 0.196 0.917 0.347
F5 F 0.231 0.545 0.246
F6 F 0.231 0.955 0.746
F7 F 0.769 0.045 0.254
F8 F 0.769 0.455 0.754
F9 F 0.804 0.083 0.653
F10 F 0.804 0.417 0.153
F11 F 0.910 0.716 0.655
F12 F 0.910 0.784 0.155
```

(7)
Structure and computed X-ray diffraction stick pattern of ZrH24C8N2F6 (a DFT-relaxed cell (GGA-PBE, Alexandria); copper Kα).
Peak positions follow from Bragg's law for the DFT cell and can differ from measured ones.

Most intense lines, 2θ from 10° to 90°, in order of falling intensity:
2θ 13.1, d 6.736, I 1000
2θ 25.3, d 3.521, I 327
2θ 21.5, d 4.136, I 291
2θ 21.6, d 4.114, I 282
2θ 40.1, d 2.247, I 148
2θ 30.7, d 2.917, I 116
2θ 25.4, d 3.509, I 108
2θ 46.1, d 1.968, I 100
2θ 46.7, d 1.945, I 89
2θ 34.3, d 2.614, I 71
2θ 34.4, d 2.603, I 70
2θ 56.3, d 1.635, I 63

Atomic structure:
```
data_ZrH24C8N2F6
_cell_length_a 8.272
_cell_length_b 8.272
_cell_length_c 8.272
_cell_angle_alpha 59.66
_cell_angle_beta 59.66
_cell_angle_gamma 59.66
_space_group_name_H-M_alt 'P 1'
_space_group_IT_number 1
loop_
_space_group_symop_operation_xyz
'x,y,z'
loop_
_atom_site_label
_atom_site_type_symbol
_atom_site_fract_x
_atom_site_fract_y
_atom_site_fract_z
Zr1 Zr 0.000 0.000 0.000
H1 H 0.025 0.735 0.510
H2 H 0.026 0.734 0.728
H3 H 0.028 0.515 0.728
H4 H 0.265 0.490 0.975
H5 H 0.266 0.272 0.974
H6 H 0.267 0.486 0.268
H7 H 0.268 0.267 0.486
H8 H 0.272 0.972 0.485
H9 H 0.272 0.974 0.266
H10 H 0.485 0.272 0.972
H11 H 0.486 0.268 0.267
H12 H 0.490 0.975 0.265
H13 H 0.510 0.025 0.735
H14 H 0.514 0.732 0.733
H15 H 0.515 0.728 0.028
H16 H 0.728 0.026 0.734
H17 H 0.728 0.028 0.515
H18 H 0.732 0.733 0.514
H19 H 0.733 0.514 0.732
H20 H 0.734 0.728 0.026
H21 H 0.735 0.510 0.025
H22 H 0.972 0.485 0.272
H23 H 0.974 0.266 0.272
H24 H 0.975 0.265 0.490
C1 C 0.026 0.322 0.326
C2 C 0.322 0.326 0.026
C3 C 0.323 0.323 0.323
C4 C 0.326 0.026 0.322
C5 C 0.674 0.974 0.678
C6 C 0.677 0.677 0.677
C7 C 0.678 0.674 0.974
C8 C 0.974 0.678 0.674
N1 N 0.249 0.249 0.249
N2 N 0.751 0.751 0.751
F1 F 0.172 0.179 0.824
F2 F 0.176 0.828 0.821
F3 F 0.179 0.824 0.172
F4 F 0.821 0.176 0.828
F5 F 0.824 0.172 0.179
F6 F 0.828 0.821 0.176
```